This entry pairs a crystal structure of LiMnPO4 with its theoretical XRD peak list. Radiation: copper Kα. Structure: a structure optimized by DFT (GGA+U).
Neutral-atom scattering factors, no anomalous dispersion.

Most intense lines, 10° ≤ 2θ ≤ 90°, by intensity:
Position (°2θ)	intensity	hkl
21.41	100.0	1 0 1
21.55	36.7	0 2 0
35.00	20.2	1 2 1
34.83	19.8	1 0 -3
41.30	19.2	2 1 0
35.69	16.0	-1 3 1

Structural model:
```
data_LiMnPO4
_cell_length_a 5.058
_cell_length_b 8.651
_cell_length_c 8.868
_cell_angle_alpha 98.50
_cell_angle_beta 91.25
_cell_angle_gamma 105.05
_space_group_name_H-M_alt 'P 1'
_space_group_IT_number 1
loop_
_space_group_symop_operation_xyz
'x,y,z'
loop_
_atom_site_label
_atom_site_fract_x
_atom_site_fract_y
_atom_site_fract_z
Li1 0.000 0.000 0.000
Li2 0.186 0.500 0.813
Li3 0.500 0.000 0.500
Li4 0.686 0.500 0.314
Mn1 0.073 0.254 0.437
Mn2 0.379 0.755 0.132
Mn3 0.574 0.255 0.937
Mn4 0.877 0.755 0.632
P1 0.135 0.378 0.122
P2 0.436 0.877 0.820
P3 0.635 0.377 0.622
P4 0.936 0.877 0.320
O1 0.040 0.852 0.157
O2 0.135 0.023 0.426
O3 0.148 0.910 0.807
O4 0.239 0.223 0.076
O5 0.392 0.524 0.168
O6 0.418 0.723 0.895
O7 0.442 0.352 0.755
O8 0.471 0.410 0.485
O9 0.539 0.852 0.657
O10 0.634 0.024 0.926
O11 0.649 0.911 0.307
O12 0.738 0.223 0.576
O13 0.891 0.524 0.668
O14 0.918 0.723 0.395
O15 0.941 0.352 0.255
O16 0.972 0.410 0.985
```

***

This entry pairs a crystal structure of LiMnPO4 with its theoretical XRD peak list. Radiation: copper Kα. Structure: a structure optimized by DFT (GGA+U).
Neutral-atom scattering factors, no anomalous dispersion.

Most intense lines, 10° ≤ 2θ ≤ 90°, by intensity:
Position (°2θ)	intensity	hkl
21.59	100.0	2 0 0
19.86	96.6	0 1 1
19.43	77.3	0 2 0
34.13	70.7	2 2 1
14.48	69.0	1 1 0
35.99	63.3	1 3 1

Structural model:
```
data_LiMnPO4
_cell_length_a 8.233
_cell_length_b 9.138
_cell_length_c 5.127
_cell_angle_alpha 90.00
_cell_angle_beta 90.00
_cell_angle_gamma 90.00
_space_group_name_H-M_alt 'P n a 21'
_space_group_IT_number 33
loop_
_space_group_symop_operation_xyz
'x,y,z'
'-x,-y,z+1/2'
'-x+1/2,y+1/2,z+1/2'
'x+1/2,-y+1/2,z'
loop_
_atom_site_label
_atom_site_fract_x
_atom_site_fract_y
_atom_site_fract_z
Li1 0.057 0.103 0.000
Mn1 0.164 0.525 0.104
P1 0.232 0.363 0.654
O1 0.073 0.443 0.743
O2 0.129 0.954 0.287
O3 0.223 0.205 0.764
O4 0.247 0.863 0.856
```

***

This entry pairs a crystal structure of LiMn3P3O12 with its theoretical XRD peak list. Radiation: copper Kα. Structure: a structure optimized by DFT (GGA+U).
Neutral-atom scattering factors, no anomalous dispersion.

Most intense lines, 10° ≤ 2θ ≤ 90°, by intensity:
Position (°2θ)	intensity	hkl
14.57	100.0	0 2 0
28.08	55.6	1 1 -2
33.73	51.1	2 4 0
16.20	48.6	2 0 0
32.74	28.5	4 0 0
35.99	25.8	4 2 0

Structural model:
```
data_LiMn3P3O12
_cell_length_a 12.319
_cell_length_b 12.159
_cell_length_c 6.728
_cell_angle_alpha 90.00
_cell_angle_beta 117.37
_cell_angle_gamma 90.00
_space_group_name_H-M_alt 'C 1 2/c 1'
_space_group_IT_number 15
loop_
_space_group_symop_operation_xyz
'x,y,z'
'-x,-y,-z'
'-x,y,-z+1/2'
'x,-y,z+1/2'
'x+1/2,y+1/2,z'
'-x+1/2,-y+1/2,-z'
'-x+1/2,y+1/2,-z+1/2'
'x+1/2,-y+1/2,z+1/2'
loop_
_atom_site_label
_atom_site_fract_x
_atom_site_fract_y
_atom_site_fract_z
Li1 0.000 0.000 0.000
Mn1 0.000 0.241 0.250
Mn2 0.226 0.341 0.148
P1 0.000 0.212 0.750
P2 0.243 0.392 0.633
O1 0.050 0.284 0.965
O2 0.095 0.132 0.735
O3 0.121 0.100 0.304
O4 0.167 0.336 0.403
O5 0.187 0.495 0.130
O6 0.227 0.317 0.812
```

***

This entry pairs a crystal structure of LiMnPO4 with its theoretical XRD peak list. Radiation: copper Kα. Structure: a structure optimized by DFT (GGA+U).
Neutral-atom scattering factors, no anomalous dispersion.

Most intense lines, 10° ≤ 2θ ≤ 90°, by intensity:
Position (°2θ)	intensity	hkl
33.27	100.0	3 1 0
24.53	61.4	1 1 -1
20.27	52.7	1 1 0
34.43	48.1	1 1 2
50.27	33.8	2 2 -2
33.37	32.5	2 0 2

Structural model:
```
data_LiMnPO4
_cell_length_a 9.653
_cell_length_b 4.917
_cell_length_c 6.480
_cell_angle_alpha 90.00
_cell_angle_beta 90.23
_cell_angle_gamma 90.00
_space_group_name_H-M_alt 'C 1 2 1'
_space_group_IT_number 5
loop_
_space_group_symop_operation_xyz
'x,y,z'
'-x,y,-z'
'x+1/2,y+1/2,z'
'-x+1/2,y+1/2,-z'
loop_
_atom_site_label
_atom_site_fract_x
_atom_site_fract_y
_atom_site_fract_z
Li1 0.175 0.000 0.249
Mn1 0.000 0.481 0.000
Mn2 0.000 0.481 0.500
P1 0.187 0.996 0.749
O1 0.133 0.130 0.947
O2 0.134 0.131 0.550
O3 0.141 0.689 0.749
O4 0.149 0.540 0.250
```

***

This entry pairs a crystal structure of Li3Mn3P4O16 with its theoretical XRD peak list. Radiation: copper Kα. Structure: a structure optimized by DFT (GGA+U).
Neutral-atom scattering factors, no anomalous dispersion.

Most intense lines, 10° ≤ 2θ ≤ 90°, by intensity:
Position (°2θ)	intensity	hkl
25.23	100.0	0 3 1
31.49	80.7	0 3 2
21.08	71.3	1 2 0
30.53	54.9	0 4 0
29.59	46.9	2 0 -1
24.84	42.3	1 2 1

Structural model:
```
data_Li3Mn3P4O16
_cell_length_a 6.151
_cell_length_b 11.702
_cell_length_c 8.421
_cell_angle_alpha 90.00
_cell_angle_beta 99.94
_cell_angle_gamma 90.00
_space_group_name_H-M_alt 'P 1 21 1'
_space_group_IT_number 4
loop_
_space_group_symop_operation_xyz
'x,y,z'
'-x,y+1/2,-z'
loop_
_atom_site_label
_atom_site_fract_x
_atom_site_fract_y
_atom_site_fract_z
Li1 0.129 0.000 0.430
Li2 0.297 0.028 0.806
Li3 0.351 0.795 0.543
Mn1 0.098 0.286 0.219
Mn2 0.122 0.685 0.163
Mn3 0.439 0.455 0.789
P1 0.038 0.959 0.089
P2 0.145 0.257 0.583
P3 0.372 0.515 0.417
P4 0.421 0.780 0.911
O1 0.007 0.331 0.979
O2 0.057 0.833 0.427
O3 0.059 0.042 0.953
O4 0.120 0.164 0.715
O5 0.146 0.496 0.821
O6 0.147 0.192 0.418
O7 0.185 0.437 0.337
O8 0.218 0.792 0.771
O9 0.249 0.959 0.220
O10 0.338 0.637 0.339
O11 0.364 0.546 0.597
O12 0.369 0.316 0.636
O13 0.370 0.692 0.038
O14 0.388 0.236 0.170
O15 0.400 0.970 0.602
O16 0.478 0.901 0.986
```